Entry 1:
Dy4Ga12Fe: calculated XRD peak list (Cu Kα), based on a cell relaxed with PBE.
Peak positions follow from Bragg's law for the DFT cell and can differ from measured ones.

Most intense lines, 2θ from 15° to 90°, by angle:
| h k l | d/Å | 2θ/deg | I/Imax |
| --- | --- | --- | --- |
| 2 0 0 | 4.299 | 20.7 | 11 |
| 2 2 0 | 3.040 | 29.4 | 23 |
| 2 2 2 | 2.482 | 36.2 | 100 |
| 4 0 0 | 2.149 | 42.0 | 57 |
| 4 2 0 | 1.922 | 47.3 | 7 |
| 4 2 2 | 1.755 | 52.1 | 8 |
| 4 4 0 | 1.520 | 61.0 | 35 |
| 6 2 2 | 1.296 | 73.0 | 34 |
| 4 4 4 | 1.241 | 76.8 | 11 |
| 6 4 2 | 1.149 | 84.3 | 6 |

Cell and atoms:
```
data_Dy4Ga12Fe
_cell_length_a 8.598
_cell_length_b 8.598
_cell_length_c 8.598
_cell_angle_alpha 90.00
_cell_angle_beta 90.00
_cell_angle_gamma 90.00
_space_group_name_H-M_alt 'I m -3 m'
_space_group_IT_number 229
_space_group_name_Hall '-I 4 2 3'
loop_
_atom_site_label
_atom_site_type_symbol
_atom_site_fract_x
_atom_site_fract_y
_atom_site_fract_z
Dy1 Dy 0.250 0.250 0.250
Ga1 Ga 0.000 0.000 0.282
Ga2 Ga 0.000 0.250 0.500
Fe1 Fe 0.000 0.000 0.000
```

Entry 2:
Dy2Ga8Fe: calculated XRD peak list (Cu Kα), based on a cell relaxed with PBE.
Peak positions follow from Bragg's law for the DFT cell and can differ from measured ones.

Most intense lines, 2θ from 15° to 90°, by angle:
| h k l | d/Å | 2θ/deg | I/Imax |
| --- | --- | --- | --- |
| 1 0 0 | 4.264 | 20.8 | 22 |
| 1 1 2 | 2.653 | 33.8 | 60 |
| 1 1 3 | 2.343 | 38.4 | 100 |
| 0 0 5 | 2.233 | 40.4 | 25 |
| 2 0 0 | 2.132 | 42.4 | 61 |
| 2 0 5 | 1.542 | 60.0 | 31 |
| 2 2 0 | 1.508 | 61.5 | 20 |
| 3 1 2 | 1.311 | 72.1 | 13 |
| 1 1 8 | 1.267 | 74.9 | 41 |
| 2 2 5 | 1.249 | 76.2 | 15 |

Cell and atoms:
```
data_Dy2Ga8Fe
_cell_length_a 4.264
_cell_length_b 4.264
_cell_length_c 11.165
_cell_angle_alpha 90.00
_cell_angle_beta 90.00
_cell_angle_gamma 90.00
_space_group_name_H-M_alt 'P 4/m m m'
_space_group_IT_number 123
_space_group_name_Hall '-P 4 2'
loop_
_atom_site_label
_atom_site_type_symbol
_atom_site_fract_x
_atom_site_fract_y
_atom_site_fract_z
Dy1 Dy 0.000 0.000 0.197
Ga1 Ga 0.000 0.500 0.000
Ga2 Ga 0.000 0.500 0.386
Ga3 Ga 0.500 0.500 0.198
Fe1 Fe 0.000 0.000 0.500
```

Entry 3:
DyFe2Ge2: calculated XRD peak list (Cu Kα), based on a cell relaxed with PBE.
Peak positions follow from Bragg's law for the DFT cell and can differ from measured ones.

Most intense lines, 2θ from 15° to 90°, by angle:
| h k l | d/Å | 2θ/deg | I/Imax |
| --- | --- | --- | --- |
| 1 1 0 | 2.812 | 31.8 | 31 |
| 1 0 3 | 2.581 | 34.8 | 100 |
| 1 1 2 | 2.461 | 36.5 | 88 |
| 2 0 0 | 1.989 | 45.6 | 57 |
| 1 0 5 | 1.812 | 50.4 | 31 |
| 2 1 3 | 1.575 | 58.6 | 44 |
| 1 1 6 | 1.452 | 64.1 | 19 |
| 2 2 0 | 1.406 | 66.5 | 18 |
| 2 1 5 | 1.339 | 70.3 | 23 |
| 3 1 2 | 1.221 | 78.3 | 18 |

Cell and atoms:
```
data_DyFe2Ge2
_cell_length_a 3.977
_cell_length_b 3.977
_cell_length_c 10.178
_cell_angle_alpha 90.00
_cell_angle_beta 90.00
_cell_angle_gamma 90.00
_space_group_name_H-M_alt 'I 4/m m m'
_space_group_IT_number 139
_space_group_name_Hall '-I 4 2'
loop_
_atom_site_label
_atom_site_type_symbol
_atom_site_fract_x
_atom_site_fract_y
_atom_site_fract_z
Dy1 Dy 0.000 0.000 0.000
Fe1 Fe 0.000 0.500 0.250
Ge1 Ge 0.000 0.000 0.372
```

Entry 4:
DyFe6Ge6: calculated XRD peak list (Cu Kα), based on a cell relaxed with PBE.
Peak positions follow from Bragg's law for the DFT cell and can differ from measured ones.

Most intense lines, 2θ from 15° to 90°, by angle:
| h k l | d/Å | 2θ/deg | I/Imax |
| --- | --- | --- | --- |
| 0 0 2 | 2.566 | 35.0 | 36 |
| 0 6 1 | 2.552 | 35.2 | 71 |
| 0 4 2 | 2.219 | 40.7 | 70 |
| 0 8 0 | 2.206 | 40.9 | 25 |
| 2 0 2 | 2.171 | 41.6 | 51 |
| 2 6 1 | 2.163 | 41.8 | 100 |
| 4 0 0 | 2.038 | 44.5 | 37 |
| 2 4 2 | 1.948 | 46.6 | 40 |
| 0 12 2 | 1.276 | 74.3 | 28 |
| 6 6 1 | 1.199 | 80.0 | 26 |

Cell and atoms:
```
data_DyFe6Ge6
_cell_length_a 8.150
_cell_length_b 17.651
_cell_length_c 5.132
_cell_angle_alpha 90.00
_cell_angle_beta 90.00
_cell_angle_gamma 90.00
_space_group_name_H-M_alt 'C m c m'
_space_group_IT_number 63
_space_group_name_Hall '-C 2c 2'
loop_
_atom_site_label
_atom_site_type_symbol
_atom_site_fract_x
_atom_site_fract_y
_atom_site_fract_z
Dy1 Dy 0.000 0.127 0.250
Fe1 Fe 0.250 0.000 0.000
Fe2 Fe 0.250 0.125 0.750
Fe3 Fe 0.250 0.250 0.000
Ge1 Ge 0.000 0.042 0.750
Ge2 Ge 0.000 0.211 0.750
Ge3 Ge 0.000 0.295 0.250
Ge4 Ge 0.000 0.459 0.250
Ge5 Ge 0.154 0.376 0.750
```

Entry 5:
DyFe6Sn4Ge2: calculated XRD peak list (Cu Kα), based on a cell relaxed with PBE.
Peak positions follow from Bragg's law for the DFT cell and can differ from measured ones.

Most intense lines, 2θ from 15° to 90°, by angle:
| h k l | d/Å | 2θ/deg | I/Imax |
| --- | --- | --- | --- |
| 1 1 0 | 2.644 | 33.9 | 100 |
| 1 0 3 | 2.446 | 36.7 | 83 |
| 2 0 0 | 2.290 | 39.4 | 45 |
| 1 1 2 | 2.258 | 39.9 | 86 |
| 0 0 4 | 2.170 | 41.6 | 22 |
| 2 0 2 | 2.025 | 44.7 | 48 |
| 1 1 3 | 1.952 | 46.5 | 22 |
| 2 1 3 | 1.485 | 62.5 | 36 |
| 2 2 0 | 1.322 | 71.3 | 32 |
| 1 1 6 | 1.269 | 74.8 | 36 |

Cell and atoms:
```
data_DyFe6Sn4Ge2
_cell_length_a 5.2879
_cell_length_b 5.2879
_cell_length_c 8.6816
_cell_angle_alpha 90.00
_cell_angle_beta 90.00
_cell_angle_gamma 120.00
_space_group_name_H-M_alt 'P 6/m m m'
_space_group_IT_number 191
_space_group_name_Hall '-P 6 2'
loop_
_atom_site_label
_atom_site_type_symbol
_atom_site_fract_x
_atom_site_fract_y
_atom_site_fract_z
Dy1 Dy 0.0000 0.0000 0.0000
Fe1 Fe 0.0000 0.5000 0.2324
Sn1 Sn 0.0000 0.0000 0.3371
Sn2 Sn 0.3333 0.6667 0.5000
Ge1 Ge 0.3333 0.6667 0.0000
```

Entry 6:
DyFe10Mo2: calculated XRD peak list (Cu Kα), based on a cell relaxed with PBE.
Peak positions follow from Bragg's law for the DFT cell and can differ from measured ones.

Most intense lines, 2θ from 15° to 90°, by angle:
| h k l | d/Å | 2θ/deg | I/Imax |
| --- | --- | --- | --- |
| 1 0 3 | 2.457 | 36.6 | 34 |
| 1 3 0 | 2.433 | 36.9 | 37 |
| 2 0 0 | 2.363 | 38.1 | 23 |
| 0 0 4 | 2.157 | 41.9 | 23 |
| 0 4 0 | 2.128 | 42.5 | 100 |
| 1 3 2 | 2.120 | 42.7 | 47 |
| 2 0 2 | 2.073 | 43.7 | 31 |
| 2 2 0 | 2.066 | 43.8 | 44 |
| 2 2 2 | 1.864 | 48.9 | 24 |
| 2 0 6 | 1.229 | 77.7 | 22 |

Cell and atoms:
```
data_DyFe10Mo2
_cell_length_a 4.727
_cell_length_b 8.516
_cell_length_c 8.629
_cell_angle_alpha 90.00
_cell_angle_beta 90.00
_cell_angle_gamma 90.00
_space_group_name_H-M_alt 'I m m m'
_space_group_IT_number 71
_space_group_name_Hall '-I 2 2'
loop_
_atom_site_label
_atom_site_type_symbol
_atom_site_fract_x
_atom_site_fract_y
_atom_site_fract_z
Dy1 Dy 0.000 0.000 0.000
Fe1 Fe 0.000 0.282 0.500
Fe2 Fe 0.000 0.357 0.000
Fe3 Fe 0.000 0.500 0.275
Fe4 Fe 0.250 0.250 0.250
Mo1 Mo 0.000 0.000 0.358
```

Entry 7:
Dy2Fe17N3: calculated XRD peak list (Cu Kα), based on a cell relaxed with PBE.
Peak positions follow from Bragg's law for the DFT cell and can differ from measured ones.

Most intense lines, 2θ from 15° to 90°, by angle:
| h k l | d/Å | 2θ/deg | I/Imax |
| --- | --- | --- | --- |
| 1 1 2 | 3.009 | 29.7 | 45 |
| 3 0 0 | 2.495 | 36.0 | 39 |
| 2 0 3 | 2.239 | 40.3 | 37 |
| 2 2 0 | 2.161 | 41.8 | 76 |
| 3 0 2 | 2.144 | 42.1 | 100 |
| 0 0 4 | 2.096 | 43.2 | 36 |
| 2 1 3 | 1.988 | 45.6 | 21 |
| 4 1 2 | 1.522 | 60.9 | 22 |
| 2 2 4 | 1.504 | 61.6 | 22 |
| 6 0 0 | 1.248 | 76.3 | 19 |

Cell and atoms:
```
data_Dy2Fe17N3
_cell_length_a 8.6429
_cell_length_b 8.6429
_cell_length_c 8.3842
_cell_angle_alpha 90.00
_cell_angle_beta 90.00
_cell_angle_gamma 120.00
_space_group_name_H-M_alt 'P 63/m m c'
_space_group_IT_number 194
_space_group_name_Hall '-P 6c 2c'
loop_
_atom_site_label
_atom_site_type_symbol
_atom_site_fract_x
_atom_site_fract_y
_atom_site_fract_z
Dy1 Dy 0.0000 0.0000 0.2500
Dy2 Dy 0.3333 0.6667 0.2500
Fe1 Fe 0.0000 0.5000 0.0000
Fe2 Fe 0.0524 0.3810 0.7500
Fe3 Fe 0.1692 0.3385 0.0205
Fe4 Fe 0.3333 0.6667 0.6078
N1 N 0.1645 0.3289 0.2500
```

Entry 8:
Dy2Fe17N3: calculated XRD peak list (Cu Kα), based on a cell relaxed with PBE.
Peak positions follow from Bragg's law for the DFT cell and can differ from measured ones.

Most intense lines, 2θ from 15° to 90°, by angle:
| h k l | d/Å | 2θ/deg | I/Imax |
| --- | --- | --- | --- |
| 1 1 3 | 3.001 | 29.8 | 45 |
| 3 0 0 | 2.482 | 36.2 | 39 |
| 0 2 4 | 2.402 | 37.4 | 29 |
| 2 2 0 | 2.150 | 42.0 | 77 |
| 3 0 3 | 2.136 | 42.3 | 100 |
| 0 0 6 | 2.096 | 43.2 | 57 |
| 2 1 7 | 1.515 | 61.2 | 35 |
| 2 2 6 | 1.501 | 61.8 | 34 |
| 6 0 0 | 1.241 | 76.8 | 17 |
| 3 0 9 | 1.218 | 78.6 | 17 |

Cell and atoms:
```
data_Dy2Fe17N3
_cell_length_a 8.5993
_cell_length_b 8.5993
_cell_length_c 12.5741
_cell_angle_alpha 90.00
_cell_angle_beta 90.00
_cell_angle_gamma 120.00
_space_group_name_H-M_alt 'R -3 m'
_space_group_IT_number 166
_space_group_name_Hall '-R 3 2"'
loop_
_atom_site_label
_atom_site_type_symbol
_atom_site_fract_x
_atom_site_fract_y
_atom_site_fract_z
Dy1 Dy 0.0000 0.0000 0.1585
Fe1 Fe 0.0000 0.0000 0.4049
Fe2 Fe 0.0000 0.2824 0.5000
Fe3 Fe 0.0000 0.5000 0.0000
Fe4 Fe 0.0083 0.5042 0.3471
N1 N 0.0000 0.5000 0.5000
```

Entry 9:
Dy2Nb2Fe15: calculated XRD peak list (Cu Kα), based on a cell relaxed with PBE.
Peak positions follow from Bragg's law for the DFT cell and can differ from measured ones.

Most intense lines, 2θ from 15° to 90°, by angle:
| h k l | d/Å | 2θ/deg | I/Imax |
| --- | --- | --- | --- |
| 1 1 2 | 2.999 | 29.8 | 16 |
| 1 0 3 | 2.638 | 34.0 | 12 |
| 3 0 0 | 2.452 | 36.7 | 29 |
| 2 0 3 | 2.240 | 40.3 | 18 |
| 0 0 4 | 2.122 | 42.6 | 100 |
| 2 1 3 | 1.981 | 45.8 | 13 |
| 2 2 2 | 1.898 | 47.9 | 12 |
| 2 2 4 | 1.500 | 61.8 | 13 |
| 6 0 0 | 1.226 | 77.9 | 11 |
| 3 0 6 | 1.224 | 78.1 | 13 |

Cell and atoms:
```
data_Dy2Nb2Fe15
_cell_length_a 8.4922
_cell_length_b 8.4922
_cell_length_c 8.4750
_cell_angle_alpha 90.00
_cell_angle_beta 90.00
_cell_angle_gamma 120.00
_space_group_name_H-M_alt 'P 63/m m c'
_space_group_IT_number 194
_space_group_name_Hall '-P 6c 2c'
loop_
_atom_site_label
_atom_site_type_symbol
_atom_site_fract_x
_atom_site_fract_y
_atom_site_fract_z
Dy1 Dy 0.0000 0.0000 0.2500
Dy2 Dy 0.3333 0.6667 0.2500
Nb1 Nb 0.3333 0.6667 0.5991
Fe1 Fe 0.0000 0.5000 0.0000
Fe2 Fe 0.0284 0.3582 0.7500
Fe3 Fe 0.1630 0.3259 0.0116
```

Entry 10:
Dy2Fe12P7: calculated XRD peak list (Cu Kα), based on a cell relaxed with PBE.
Peak positions follow from Bragg's law for the DFT cell and can differ from measured ones.

Most intense lines, 2θ from 15° to 90°, by angle:
| h k l | d/Å | 2θ/deg | I/Imax |
| --- | --- | --- | --- |
| 1 0 1 | 3.293 | 27.1 | 13 |
| 2 1 0 | 2.934 | 30.5 | 10 |
| 3 0 0 | 2.588 | 34.7 | 12 |
| 2 1 1 | 2.284 | 39.5 | 100 |
| 3 1 1 | 1.853 | 49.2 | 10 |
| 0 0 2 | 1.818 | 50.2 | 17 |
| 1 4 0 | 1.694 | 54.1 | 16 |
| 3 2 1 | 1.600 | 57.6 | 12 |
| 1 4 2 | 1.239 | 76.9 | 11 |
| 2 1 3 | 1.120 | 87.0 | 11 |

Cell and atoms:
```
data_Dy2Fe12P7
_cell_length_a 8.9650
_cell_length_b 8.9650
_cell_length_c 3.6360
_cell_angle_alpha 90.00
_cell_angle_beta 90.00
_cell_angle_gamma 120.00
_space_group_name_H-M_alt 'P -6'
_space_group_IT_number 174
_space_group_name_Hall 'P -6'
loop_
_atom_site_label
_atom_site_type_symbol
_atom_site_fract_x
_atom_site_fract_y
_atom_site_fract_z
Dy1 Dy 0.0000 0.0000 0.0000
Dy2 Dy 0.3333 0.6667 0.5000
Fe1 Fe 0.0387 0.2777 0.5000
Fe2 Fe 0.0985 0.7169 0.0000
Fe3 Fe 0.4499 0.2132 0.0000
Fe4 Fe 0.5110 0.4529 0.5000
P1 P 0.0679 0.4448 0.0000
P2 P 0.2562 0.2195 0.5000
P3 P 0.6667 0.3333 0.5000
```

Please write out number 8 again, unchanged.
Dy2Fe17N3: calculated XRD peak list (Cu Kα), based on a cell relaxed with PBE.
Peak positions follow from Bragg's law for the DFT cell and can differ from measured ones.

Most intense lines, 2θ from 15° to 90°, by angle:
| h k l | d/Å | 2θ/deg | I/Imax |
| --- | --- | --- | --- |
| 1 1 3 | 3.001 | 29.8 | 45 |
| 3 0 0 | 2.482 | 36.2 | 39 |
| 0 2 4 | 2.402 | 37.4 | 29 |
| 2 2 0 | 2.150 | 42.0 | 77 |
| 3 0 3 | 2.136 | 42.3 | 100 |
| 0 0 6 | 2.096 | 43.2 | 57 |
| 2 1 7 | 1.515 | 61.2 | 35 |
| 2 2 6 | 1.501 | 61.8 | 34 |
| 6 0 0 | 1.241 | 76.8 | 17 |
| 3 0 9 | 1.218 | 78.6 | 17 |

Cell and atoms:
```
data_Dy2Fe17N3
_cell_length_a 8.5993
_cell_length_b 8.5993
_cell_length_c 12.5741
_cell_angle_alpha 90.00
_cell_angle_beta 90.00
_cell_angle_gamma 120.00
_space_group_name_H-M_alt 'R -3 m'
_space_group_IT_number 166
_space_group_name_Hall '-R 3 2"'
loop_
_atom_site_label
_atom_site_type_symbol
_atom_site_fract_x
_atom_site_fract_y
_atom_site_fract_z
Dy1 Dy 0.0000 0.0000 0.1585
Fe1 Fe 0.0000 0.0000 0.4049
Fe2 Fe 0.0000 0.2824 0.5000
Fe3 Fe 0.0000 0.5000 0.0000
Fe4 Fe 0.0083 0.5042 0.3471
N1 N 0.0000 0.5000 0.5000
```

Copy entry 6 word for word.
DyFe10Mo2: calculated XRD peak list (Cu Kα), based on a cell relaxed with PBE.
Peak positions follow from Bragg's law for the DFT cell and can differ from measured ones.

Most intense lines, 2θ from 15° to 90°, by angle:
| h k l | d/Å | 2θ/deg | I/Imax |
| --- | --- | --- | --- |
| 1 0 3 | 2.457 | 36.6 | 34 |
| 1 3 0 | 2.433 | 36.9 | 37 |
| 2 0 0 | 2.363 | 38.1 | 23 |
| 0 0 4 | 2.157 | 41.9 | 23 |
| 0 4 0 | 2.128 | 42.5 | 100 |
| 1 3 2 | 2.120 | 42.7 | 47 |
| 2 0 2 | 2.073 | 43.7 | 31 |
| 2 2 0 | 2.066 | 43.8 | 44 |
| 2 2 2 | 1.864 | 48.9 | 24 |
| 2 0 6 | 1.229 | 77.7 | 22 |

Cell and atoms:
```
data_DyFe10Mo2
_cell_length_a 4.727
_cell_length_b 8.516
_cell_length_c 8.629
_cell_angle_alpha 90.00
_cell_angle_beta 90.00
_cell_angle_gamma 90.00
_space_group_name_H-M_alt 'I m m m'
_space_group_IT_number 71
_space_group_name_Hall '-I 2 2'
loop_
_atom_site_label
_atom_site_type_symbol
_atom_site_fract_x
_atom_site_fract_y
_atom_site_fract_z
Dy1 Dy 0.000 0.000 0.000
Fe1 Fe 0.000 0.282 0.500
Fe2 Fe 0.000 0.357 0.000
Fe3 Fe 0.000 0.500 0.275
Fe4 Fe 0.250 0.250 0.250
Mo1 Mo 0.000 0.000 0.358
```